Diffraction record for SrH16O10. The powder XRD pattern is theoretical, not measured: it uses a crystal structure in Alexandria, relaxed with GGA-PBE and λ = 1.5418 Å (Cu Kα).
Neutral-atom scattering factors, no anomalous dispersion.

Structure:
Cell lengths 5.9319, 6.3820, 6.6732 Å; angles 85.44, 87.98, 83.18 degrees
Atoms (fractional coordinates):
1 Sr 0.0000 0.0000 0.0000
2 H 0.1397 0.9234 0.5545
3 H 0.1863 0.6741 0.6068
4 H 0.2221 0.2445 0.3889
5 H 0.2734 0.3251 0.7154
6 H 0.3013 0.0124 0.3048
7 H 0.3044 0.6258 0.2803
8 H 0.4481 0.1514 0.8105
9 H 0.4638 0.7695 0.6606
10 H 0.4777 0.7208 0.1165
11 H 0.5426 0.2914 0.0427
12 H 0.6205 0.5878 0.5571
13 H 0.6239 0.3226 0.2689
14 H 0.6619 0.2230 0.6058
15 H 0.7151 0.9666 0.6450
16 H 0.7159 0.6836 0.8620
17 H 0.7717 0.5338 0.0594
18 O 0.1651 0.8129 0.6687
19 O 0.1664 0.1083 0.3407
20 O 0.2974 0.2303 0.8438
21 O 0.3048 0.4394 0.4753
22 O 0.3193 0.7432 0.1708
23 O 0.5592 0.3988 0.4614
24 O 0.6275 0.7209 0.6376
25 O 0.6801 0.2741 0.1231
26 O 0.7229 0.1007 0.7099
27 O 0.7588 0.6855 0.0088

Peak list (8 most intense, 2θ = 10–80°, low angle first)
| 2theta | I_rel |
| --- | --- |
| 13.31 | 66 |
| 14.02 | 92 |
| 18.62 | 57 |
| 19.37 | 100 |
| 20.11 | 76 |
| 20.40 | 89 |
| 21.80 | 81 |
| 30.52 | 78 |



Diffraction record for Sr2H2O3. The powder XRD pattern is theoretical, not measured: it uses a crystal structure in Alexandria, relaxed with GGA-PBE and λ = 1.5418 Å (Cu Kα).
Neutral-atom scattering factors, no anomalous dispersion.

Structure:
Cell lengths 3.7861, 3.7861, 8.6618 Å; angles 90.00, 90.00, 120.00 degrees
Atoms (fractional coordinates):
1 Sr 0.3333 0.6667 0.1724
2 Sr 0.6667 0.3333 0.8276
3 H 0.3333 0.6667 0.5722
4 H 0.6667 0.3333 0.4278
5 O 0.0000 0.0000 0.0000
6 O 0.3333 0.6667 0.6843
7 O 0.6667 0.3333 0.3157

Peak list (8 most intense, 2θ = 10–80°, low angle first)
| 2theta | I_rel |
| --- | --- |
| 10.21 | 71 |
| 20.51 | 23 |
| 27.20 | 26 |
| 29.12 | 63 |
| 34.30 | 100 |
| 48.06 | 33 |
| 50.51 | 34 |
| 60.39 | 26 |



Diffraction record for SrH4O6. The powder XRD pattern is theoretical, not measured: it uses a crystal structure in Alexandria, relaxed with GGA-PBE and λ = 1.5418 Å (Cu Kα).
Neutral-atom scattering factors, no anomalous dispersion.

Structure:
Cell lengths 5.0890, 5.0890, 8.5356 Å; angles 99.20, 99.20, 72.43 degrees
Atoms (fractional coordinates):
1 Sr 0.1668 0.8332 0.7500
2 Sr 0.8332 0.1668 0.2500
3 H 0.2105 0.6103 0.3694
4 H 0.2779 0.3240 0.0555
5 H 0.3240 0.2779 0.5555
6 H 0.3897 0.7895 0.1306
7 H 0.6103 0.2105 0.8694
8 H 0.6760 0.7221 0.4445
9 H 0.7221 0.6760 0.9445
10 H 0.7895 0.3897 0.6306
11 O 0.0108 0.3483 0.6806
12 O 0.1633 0.1811 0.5463
13 O 0.1811 0.1633 0.0463
14 O 0.3483 0.0108 0.1806
15 O 0.4538 0.5108 0.0797
16 O 0.4892 0.5462 0.4203
17 O 0.5108 0.4538 0.5797
18 O 0.5462 0.4892 0.9203
19 O 0.6517 0.9892 0.8194
20 O 0.8189 0.8367 0.9537
21 O 0.8367 0.8189 0.4537
22 O 0.9892 0.6517 0.3194

Peak list (8 most intense, 2θ = 10–80°, low angle first)
| 2theta | I_rel |
| --- | --- |
| 20.15 | 100 |
| 22.09 | 48 |
| 29.90 | 55 |
| 35.22 | 53 |
| 36.29 | 40 |
| 36.82 | 42 |
| 37.62 | 49 |
| 40.18 | 56 |



Diffraction record for Sr3H2O4. The powder XRD pattern is theoretical, not measured: it uses a crystal structure in Alexandria, relaxed with GGA-PBE and λ = 1.5418 Å (Cu Kα).
Neutral-atom scattering factors, no anomalous dispersion.

Structure:
Cell lengths 6.8107, 6.8107, 6.1054 Å; angles 104.88, 104.88, 78.62 degrees
Atoms (fractional coordinates):
1 Sr 0.1239 0.8761 0.7500
2 Sr 0.2222 0.4778 0.2946
3 Sr 0.4778 0.2222 0.7946
4 Sr 0.5222 0.7778 0.2054
5 Sr 0.7778 0.5222 0.7054
6 Sr 0.8761 0.1239 0.2500
7 H 0.1448 0.4056 0.7353
8 H 0.4056 0.1448 0.2353
9 H 0.5944 0.8552 0.7647
10 H 0.8552 0.5944 0.2647
11 O 0.0991 0.2860 0.5989
12 O 0.2373 0.5844 0.9441
13 O 0.2860 0.0991 0.0989
14 O 0.4156 0.7627 0.5559
15 O 0.5844 0.2373 0.4441
16 O 0.7140 0.9009 0.9011
17 O 0.7627 0.4156 0.0559
18 O 0.9009 0.7140 0.4011

Peak list (8 most intense, 2θ = 10–80°, low angle first)
| 2theta | I_rel |
| --- | --- |
| 25.80 | 100 |
| 28.20 | 40 |
| 28.86 | 36 |
| 31.06 | 27 |
| 35.40 | 39 |
| 37.00 | 33 |
| 41.10 | 28 |
| 41.87 | 24 |